Starting from the GGA-PBE geometry in Alexandria, the X-ray powder pattern of Tb2Pm was simulated for Cu Ka.

Structural model:
```
data_Tb2Pm
_chemical_formula_sum 'Tb4 Pm2'
_cell_length_a 3.589
_cell_length_b 3.589
_cell_length_c 15.242
_cell_angle_alpha 90.00
_cell_angle_beta 90.00
_cell_angle_gamma 90.00
_symmetry_space_group_name_H-M 'I 4/m m m'
_symmetry_Int_Tables_number 139
_symmetry_space_group_name_Hall '-I 4 2'
loop_
_atom_site_label
_atom_site_type_symbol
_atom_site_fract_x
_atom_site_fract_y
_atom_site_fract_z
Tb1 Tb 0.000 0.000 0.168
Pm1 Pm 0.000 0.000 0.500
```

The 6 most intense peaks (10 to 80 degrees two-theta), low angle first:
2θ 30.49, I 100, hkl 1 0 3; 2θ 35.35, I 51, hkl 1 1 0; 2θ 50.86, I 36, hkl 2 0 0; 2θ 60.47, I 43, hkl 2 1 3; 2θ 63.46, I 12, hkl 2 0 6; 2θ 74.79, I 6, hkl 2 2 0

***

Starting from the GGA-PBE geometry in Alexandria, the X-ray powder pattern of Hg2ICl3 was simulated for Cu Ka.

Structural model:
```
data_Hg2ICl3
_chemical_formula_sum 'Hg4 I2 Cl6'
_cell_length_a 4.326
_cell_length_b 9.731
_cell_length_c 11.395
_cell_angle_alpha 79.68
_cell_angle_beta 84.59
_cell_angle_gamma 78.40
_symmetry_space_group_name_H-M 'P -1'
_symmetry_Int_Tables_number 2
_symmetry_space_group_name_Hall '-P 1'
loop_
_atom_site_label
_atom_site_type_symbol
_atom_site_fract_x
_atom_site_fract_y
_atom_site_fract_z
Hg1 Hg 0.225 0.385 0.367
Hg2 Hg 0.239 0.886 0.875
I1 I 0.375 0.035 0.307
Cl1 Cl 0.096 0.189 0.960
Cl2 Cl 0.131 0.677 0.472
Cl3 Cl 0.414 0.556 0.791
```

The 10 most intense peaks (10 to 80 degrees two-theta), low angle first:
2θ 13.26, I 100, hkl 0 1 -1; 2θ 21.78, I 28, hkl 1 1 1; 2θ 22.62, I 44, hkl 0 2 2; 2θ 25.62, I 59, hkl 1 0 2; 2θ 28.28, I 41, hkl 0 3 1; 2θ 30.99, I 17, hkl 1 -2 0; 2θ 34.34, I 26, hkl 1 1 -3; 2θ 36.55, I 20, hkl 1 3 3; 2θ 40.45, I 25, hkl 1 -3 1; 2θ 43.66, I 24, hkl 2 1 -1

***

Starting from the GGA-PBE geometry in Alexandria, the X-ray powder pattern of ErCd8Hg4 was simulated for Cu Ka.

Structural model:
```
data_ErCd8Hg4
_chemical_formula_sum 'Er1 Cd8 Hg4'
_cell_length_a 4.276
_cell_length_b 4.280
_cell_length_c 17.769
_cell_angle_alpha 90.00
_cell_angle_beta 90.00
_cell_angle_gamma 90.00
_symmetry_space_group_name_H-M 'P m m 2'
_symmetry_Int_Tables_number 25
_symmetry_space_group_name_Hall 'P 2 -2'
loop_
_atom_site_label
_atom_site_type_symbol
_atom_site_fract_x
_atom_site_fract_y
_atom_site_fract_z
Er1 Er 0.000 0.000 0.000
Cd1 Cd 0.000 0.000 0.172
Cd2 Cd 0.000 0.000 0.441
Cd3 Cd 0.000 0.500 0.582
Cd4 Cd 0.000 0.500 0.865
Cd5 Cd 0.500 0.000 0.302
Cd6 Cd 0.500 0.000 0.866
Cd7 Cd 0.500 0.500 0.436
Cd8 Cd 0.500 0.500 0.721
Hg1 Hg 0.000 0.000 0.726
Hg2 Hg 0.000 0.500 0.292
Hg3 Hg 0.500 0.000 0.578
Hg4 Hg 0.500 0.500 0.068
```

The 10 most intense peaks (10 to 80 degrees two-theta), low angle first:
2θ 28.98, I 15, hkl 1 0 4; 2θ 33.26, I 100, hkl 1 1 3; 2θ 35.36, I 25, hkl 0 0 7; 2θ 35.92, I 56, hkl 1 1 4; 2θ 42.25, I 52, hkl 2 0 0; 2θ 56.24, I 26, hkl 2 0 7; 2θ 61.29, I 19, hkl 2 2 0; 2θ 65.51, I 18, hkl 1 1 11; 2θ 71.54, I 21, hkl 3 1 3; 2θ 73.12, I 14, hkl 3 1 4

***

Starting from the GGA-PBE geometry in Alexandria, the X-ray powder pattern of Ba2CeTm3O8 was simulated for Cu Ka.

Structural model:
```
data_Ba2CeTm3O8
_chemical_formula_sum 'Ba6 Ce3 Tm9 O24'
_cell_length_a 6.9246
_cell_length_b 6.9246
_cell_length_c 18.3494
_cell_angle_alpha 90.00
_cell_angle_beta 90.00
_cell_angle_gamma 120.00
_symmetry_space_group_name_H-M 'R 3 m'
_symmetry_Int_Tables_number 160
_symmetry_space_group_name_Hall 'R 3 -2"'
loop_
_atom_site_label
_atom_site_type_symbol
_atom_site_fract_x
_atom_site_fract_y
_atom_site_fract_z
Ba1 Ba 0.0000 0.0000 0.0000
Ba2 Ba 0.0000 0.0000 0.3750
Ce1 Ce 0.0000 0.0000 0.7607
Tm1 Tm 0.0068 0.5034 0.8767
O1 O 0.0000 0.0000 0.1461
O2 O 0.0000 0.0000 0.6102
O3 O 0.0087 0.5043 0.1403
O4 O 0.1860 0.3720 0.9379
```

The 10 most intense peaks (10 to 80 degrees two-theta), low angle first:
2θ 24.43, I 36, hkl 1 0 4; 2θ 28.52, I 66, hkl 0 1 5; 2θ 29.65, I 100, hkl 1 1 3; 2θ 30.20, I 66, hkl 0 2 1; 2θ 31.39, I 53, hkl 2 0 2; 2θ 35.78, I 33, hkl 0 2 4; 2θ 47.13, I 36, hkl 1 2 5; 2θ 47.87, I 27, hkl 0 3 3; 2θ 50.07, I 49, hkl 2 0 8; 2θ 52.89, I 46, hkl 2 2 0

***

Starting from the GGA-PBE geometry in Alexandria, the X-ray powder pattern of CuOsCl4 was simulated for Cu Ka.

Structural model:
```
data_CuOsCl4
_chemical_formula_sum 'Cu4 Os4 Cl16'
_cell_length_a 8.026
_cell_length_b 8.026
_cell_length_c 8.026
_cell_angle_alpha 90.00
_cell_angle_beta 90.00
_cell_angle_gamma 90.00
_symmetry_space_group_name_H-M 'F -4 3 m'
_symmetry_Int_Tables_number 216
_symmetry_space_group_name_Hall 'F -4 2 3'
loop_
_atom_site_label
_atom_site_type_symbol
_atom_site_fract_x
_atom_site_fract_y
_atom_site_fract_z
Cu1 Cu 0.000 0.000 0.000
Os1 Os 0.250 0.250 0.750
Cl1 Cl 0.124 0.124 0.376
```

The 10 most intense peaks (10 to 80 degrees two-theta), low angle first:
2θ 19.15, I 44, hkl 1 1 1; 2θ 22.15, I 17, hkl 2 0 0; 2θ 31.53, I 73, hkl 2 2 0; 2θ 37.15, I 100, hkl 3 1 1; 2θ 38.87, I 14, hkl 2 2 2; 2θ 49.50, I 13, hkl 3 3 1; 2θ 56.14, I 28, hkl 4 2 2; 2θ 59.88, I 32, hkl 3 3 3; 2θ 65.82, I 19, hkl 4 4 0; 2θ 74.82, I 12, hkl 6 2 0

***

Starting from the GGA-PBE geometry in Alexandria, the X-ray powder pattern of SmYHo2Tm5 was simulated for Cu Ka.

Structural model:
```
data_SmYHo2Tm5
_chemical_formula_sum 'Sm4 Y4 Ho8 Tm20'
_cell_length_a 8.885
_cell_length_b 8.885
_cell_length_c 14.457
_cell_angle_alpha 90.00
_cell_angle_beta 90.00
_cell_angle_gamma 90.00
_symmetry_space_group_name_H-M 'I 4/m c m'
_symmetry_Int_Tables_number 140
_symmetry_space_group_name_Hall '-I 4 2c'
loop_
_atom_site_label
_atom_site_type_symbol
_atom_site_fract_x
_atom_site_fract_y
_atom_site_fract_z
Sm1 Sm 0.000 0.000 0.250
Y1 Y 0.000 0.500 0.250
Ho1 Ho 0.112 0.388 0.000
Tm1 Tm 0.000 0.000 0.000
Tm2 Tm 0.205 0.295 0.369
```

The 10 most intense peaks (10 to 80 degrees two-theta), low angle first:
2θ 28.41, I 43, hkl 2 2 0; 2θ 29.13, I 45, hkl 2 1 3; 2θ 31.91, I 100, hkl 2 0 4; 2θ 37.00, I 20, hkl 3 2 1; 2θ 38.51, I 15, hkl 2 1 5; 2θ 42.41, I 15, hkl 4 1 1; 2θ 50.50, I 10, hkl 0 0 8; 2θ 52.56, I 15, hkl 4 2 4; 2θ 58.82, I 16, hkl 4 4 0; 2θ 58.96, I 10, hkl 2 2 8